The following is a calculated powder diffractogram of CaMn2P2H4O10. It was derived from a DFT-relaxed cell (PBE+U, the Materials Project), using copper Kα.
Intensities are scaled so that the largest is 100.

Main lines, by intensity (2θ = 15–90°):
h k l  2θ/deg  I (rel.)
1 -1 1  28.78  100
1 1 3  34.04  86
0 1 2  26.05  82
1 0 0  17.76  79
1 0 -1  23.71  76
1 2 0  34.19  63
1 0 1  18.50  52
0 1 -1  21.91  47
1 1 -1  27.90  39
0 0 2  23.28  37

Cell lengths 5.404, 5.699, 8.195 Å; angles 75.11, 71.50, 73.24 degrees
Atoms (fractional coordinates):
1 Ca 0.000 0.000 0.000
2 Mn 0.214 0.500 0.427
3 Mn 0.762 0.634 0.850
4 P 0.271 0.337 0.069
5 P 0.291 0.910 0.628
6 H 0.474 0.887 0.153
7 H 0.656 0.528 0.577
8 H 0.730 0.648 0.199
9 H 0.854 0.265 0.648
10 O 0.118 0.401 0.925
11 O 0.144 0.545 0.185
12 O 0.222 0.077 0.176
13 O 0.378 0.137 0.499
14 O 0.390 0.681 0.533
15 O 0.407 0.851 0.790
16 O 0.576 0.318 0.996
17 O 0.660 0.769 0.107
18 O 0.834 0.452 0.611
19 O 0.978 0.957 0.710


The following is a calculated powder diffractogram of BaSrSmMnO6. It was derived from a DFT-relaxed cell (PBE+U, the Materials Project), using copper Kα.
Intensities are scaled so that the largest is 100.

Main lines, by intensity (2θ = 15–90°):
h k l  2θ/deg  I (rel.)
1 -1 2  30.11  100
0 0 4  43.11  45
1 1 -2  29.93  25
1 1 2  30.32  24
3 1 2  53.74  20
1 -3 2  53.23  15
2 0 -4  53.30  11
3 -1 2  53.58  10
4 0 0  62.65  9
2 -2 4  62.54  9

Cell lengths 5.933, 5.937, 8.394 Å; angles 90.61, 90.40, 90.08 degrees
Atoms (fractional coordinates):
1 Ba 0.002 0.011 0.250
2 Ba 0.998 0.989 0.750
3 Sr 0.495 0.525 0.253
4 Sr 0.505 0.475 0.747
5 Sm 0.000 0.500 0.500
6 Sm 0.500 0.000 0.000
7 Mn 0.000 0.500 0.000
8 Mn 0.500 0.000 0.500
9 O 0.054 0.495 0.772
10 O 0.214 0.743 0.023
11 O 0.249 0.291 0.029
12 O 0.254 0.788 0.484
13 O 0.296 0.254 0.475
14 O 0.465 0.022 0.729
15 O 0.535 0.978 0.271
16 O 0.704 0.746 0.525
17 O 0.746 0.212 0.516
18 O 0.751 0.709 0.971
19 O 0.786 0.257 0.977
20 O 0.946 0.505 0.228


The following is a calculated powder diffractogram of LiMnP3O9. It was derived from a DFT-relaxed cell (PBE+U, the Materials Project), using copper Kα.
Intensities are scaled so that the largest is 100.

Main lines, by intensity (2θ = 15–90°):
h k l  2θ/deg  I (rel.)
0 1 2  18.81  100
1 1 1  17.90  79
1 2 -1  22.23  52
1 1 -2  23.01  46
1 2 1  22.45  41
1 1 2  23.42  37
2 2 0  31.41  34
1 1 -1  17.64  33
1 3 0  27.07  31
1 1 -3  30.03  27

Cell lengths 6.571, 11.423, 10.362 Å; angles 90.00, 91.16, 90.00 degrees
Atoms (fractional coordinates):
1 Li 0.245 0.094 0.189
2 Li 0.245 0.406 0.689
3 Li 0.755 0.594 0.311
4 Li 0.755 0.906 0.811
5 Mn 0.000 0.000 0.500
6 Mn 0.000 0.500 0.000
7 Mn 0.500 0.000 0.000
8 Mn 0.500 0.500 0.500
9 P 0.144 0.638 0.699
10 P 0.144 0.862 0.199
11 P 0.231 0.247 0.930
12 P 0.231 0.253 0.430
13 P 0.380 0.648 0.199
14 P 0.380 0.852 0.699
15 P 0.620 0.148 0.301
16 P 0.620 0.352 0.801
17 P 0.769 0.747 0.570
18 P 0.769 0.753 0.070
19 P 0.856 0.138 0.801
20 P 0.856 0.362 0.301
21 O 0.070 0.207 0.819
22 O 0.070 0.293 0.319
23 O 0.114 0.539 0.793
24 O 0.114 0.961 0.293
25 O 0.158 0.154 0.510
26 O 0.158 0.346 0.010
27 O 0.235 0.603 0.574
28 O 0.235 0.897 0.074
29 O 0.265 0.610 0.082
30 O 0.265 0.890 0.582
31 O 0.273 0.741 0.770
32 O 0.273 0.759 0.270
33 O 0.297 0.141 0.007
34 O 0.297 0.359 0.507
35 O 0.398 0.209 0.331
36 O 0.398 0.291 0.831
37 O 0.440 0.561 0.302
38 O 0.440 0.939 0.802
39 O 0.560 0.061 0.198
40 O 0.560 0.439 0.698
41 O 0.602 0.709 0.169
42 O 0.602 0.791 0.669
43 O 0.703 0.641 0.493
44 O 0.703 0.859 0.993
45 O 0.727 0.241 0.730
46 O 0.727 0.259 0.230
47 O 0.735 0.110 0.418
48 O 0.735 0.390 0.918
49 O 0.765 0.103 0.926
50 O 0.765 0.397 0.426
51 O 0.842 0.654 0.990
52 O 0.842 0.846 0.490
53 O 0.886 0.039 0.707
54 O 0.886 0.461 0.207
55 O 0.930 0.707 0.681
56 O 0.930 0.793 0.181